1.
Starting from the PBE+U geometry in the Materials Project, the PXRD pattern of Li6Mn3SbP6O24 was calculated for Cu Kα X-rays.

Peak list (10 most intense, 2θ from 5° to 70°, low angle first)
12.26°, I = 23, (1 0 0)
14.17°, I = 37, (0 1 1)
19.99°, I = 42, (0 1 -1)
20.18°, I = 89, (1 2 1)
20.26°, I = 33, (2 1 1)
23.60°, I = 100, (1 0 2)
23.70°, I = 52, (0 2 1)
28.61°, I = 19, (0 2 2)
32.16°, I = 75, (1 3 2)
35.20°, I = 43, (-2 1 1)

Cell and atoms:
```
Li6Mn3SbP6O24
1.0
8.767 0.000 0.000
4.370 7.635 0.000
4.300 2.519 7.259
Li Mn Sb P O
6 3 1 6 24
Cartesian
0.000 0.000 0.000
6.655 6.134 6.143
8.796 8.268 4.780
8.147 6.283 2.284
8.184 3.025 1.007
10.168 1.686 3.763
5.855 6.636 3.650
6.755 2.050 5.782
6.091 1.677 0.077
11.190 4.642 2.247
2.894 1.342 1.435
5.558 4.890 0.788
8.660 4.642 4.502
11.616 8.044 2.935
14.303 8.601 6.661
12.951 4.158 5.204
5.265 5.222 5.039
4.131 4.457 1.327
4.690 2.714 5.238
1.970 0.769 0.358
7.342 8.123 2.733
9.593 8.276 6.808
6.315 5.651 1.884
7.892 5.994 4.509
4.284 1.671 0.925
7.814 3.391 4.529
6.344 3.598 0.514
10.665 8.392 4.063
9.751 4.671 5.561
12.799 8.737 6.681
9.317 4.659 2.986
7.167 1.378 1.720
11.197 6.602 2.406
15.056 9.884 7.055
12.260 4.435 6.572
13.099 8.022 3.333
10.323 4.845 0.431
11.911 4.233 4.023
14.962 8.079 5.359
10.851 2.670 1.975
```


2.
Starting from the PBE+U geometry in the Materials Project, the PXRD pattern of Li6MnSb3P6O24 was calculated for Cu Kα X-rays.

Peak list (10 most intense, 2θ from 5° to 70°, low angle first)
14.17°, I = 32, (0 1 1)
19.14°, I = 83, (0 1 -1)
21.01°, I = 100, (1 1 2)
23.33°, I = 26, (0 1 2)
23.45°, I = 52, (2 0 1)
33.15°, I = 39, (1 2 3)
33.29°, I = 37, (3 2 1)
33.43°, I = 58, (-2 1 1)
33.54°, I = 27, (1 -2 1)
34.62°, I = 23, (1 0 3)

Cell and atoms:
```
Li6MnSb3P6O24
1.0
8.507 0.000 0.000
3.455 7.780 0.000
3.468 2.307 7.464
Li Mn Sb P O
6 1 3 6 24
Cartesian
0.000 0.000 0.000
5.726 5.918 7.110
7.549 8.114 4.825
8.089 6.147 2.010
8.211 3.349 1.150
9.766 2.392 3.580
10.738 4.860 2.304
5.098 6.702 3.687
6.322 1.985 5.893
9.312 3.988 7.394
3.619 3.982 5.415
2.554 1.279 1.578
5.313 4.991 0.520
7.745 4.681 4.229
10.462 8.321 2.973
12.954 8.234 6.638
1.900 2.687 1.661
5.481 7.657 5.564
4.698 5.075 5.466
1.690 0.386 0.709
4.216 2.526 5.540
6.110 8.490 3.070
3.862 4.700 0.941
8.697 8.006 6.584
4.018 1.353 1.065
6.141 5.786 1.539
7.132 6.147 4.037
6.687 3.594 4.298
9.443 8.714 4.112
6.140 3.646 0.381
8.583 4.813 5.530
6.853 1.533 1.752
8.637 4.409 2.986
11.560 8.372 6.067
10.098 6.889 2.546
13.569 9.598 7.064
11.922 8.518 3.405
9.467 4.948 0.382
11.322 4.200 6.774
11.209 4.006 4.194
```


3.
Starting from the PBE+U geometry in the Materials Project, the PXRD pattern of Li4Mn3SbP4O16 was calculated for Cu Kα X-rays.

Peak list (10 most intense, 2θ from 5° to 70°, low angle first)
16.46°, I = 44, (0 0 2)
20.07°, I = 62, (1 0 -1)
24.47°, I = 66, (1 1 -1)
24.78°, I = 66, (1 1 1)
27.88°, I = 96, (0 2 0)
30.72°, I = 29, (1 0 -3)
33.83°, I = 49, (1 1 -3)
34.56°, I = 100, (1 1 3)
36.18°, I = 40, (0 1 4)
38.71°, I = 28, (1 0 4)

Cell and atoms:
```
Li4Mn3SbP4O16
1.0
4.799 0.000 0.000
0.000 6.401 0.000
-0.272 0.000 10.773
Li Mn Sb P O
4 3 1 4 16
Cartesian
0.000 1.569 0.000
0.000 4.832 0.000
2.218 1.586 5.470
2.218 4.815 5.470
0.025 3.201 3.173
2.014 3.201 8.379
4.410 0.000 7.716
2.735 0.000 2.298
0.272 0.000 4.561
1.725 0.000 9.680
2.759 3.201 0.932
4.160 3.201 6.425
0.816 1.303 3.876
0.816 5.098 3.876
0.882 0.000 6.000
0.900 3.201 6.484
1.227 3.201 1.042
1.097 1.255 8.984
1.097 5.146 8.984
1.433 0.000 0.375
3.054 3.201 10.267
3.443 2.010 1.693
3.443 4.391 1.693
3.268 0.000 9.671
3.515 0.000 4.614
3.530 1.956 7.157
3.530 4.445 7.157
3.592 3.201 4.968
```


4.
Starting from the PBE+U geometry in the Materials Project, the PXRD pattern of Li4Mn5SbP6O24 was calculated for Cu Kα X-rays.

Peak list (10 most intense, 2θ from 5° to 70°, low angle first)
19.39°, I = 100, (0 1 -1)
23.23°, I = 38, (0 1 2)
23.37°, I = 38, (1 2 0)
23.48°, I = 37, (2 0 1)
32.44°, I = 43, (1 2 3)
32.63°, I = 39, (2 3 1)
32.79°, I = 36, (3 1 2)
33.92°, I = 79, (-2 1 1)
47.78°, I = 18, (2 0 4)
52.91°, I = 33, (1 2 -3)

Cell and atoms:
```
Li4Mn5SbP6O24
1.0
8.610 0.000 0.000
3.816 7.802 0.000
3.816 2.438 7.415
Li Mn Sb P O
4 5 1 6 24
Cartesian
0.000 0.000 0.000
6.351 6.164 6.968
8.459 6.183 2.164
10.137 2.304 3.675
8.048 8.265 4.781
6.555 2.008 5.909
9.729 4.022 7.360
8.293 3.157 1.075
10.941 4.727 2.271
5.401 6.636 3.659
12.425 3.974 5.289
2.721 1.256 1.461
5.352 4.886 0.582
8.118 4.617 4.367
10.921 8.151 2.919
13.506 8.431 6.645
1.841 2.545 1.684
5.857 7.767 5.507
4.871 5.123 5.130
4.429 2.551 5.425
3.901 4.478 0.913
6.579 8.378 2.941
2.004 0.387 0.435
6.002 5.743 1.741
9.079 8.145 6.684
4.161 1.545 1.086
7.485 6.114 4.151
7.060 3.579 4.632
9.968 8.647 4.021
6.312 3.685 0.454
9.127 4.751 5.488
8.779 4.339 2.956
12.110 8.714 6.161
7.196 1.342 1.727
10.427 6.757 2.478
14.248 9.698 7.079
9.646 4.878 0.347
12.417 8.108 3.428
11.810 4.290 6.685
11.441 3.906 4.117
```


5.
Starting from the PBE+U geometry in the Materials Project, the PXRD pattern of Li4Mn5SnP6O24 was calculated for Cu Kα X-rays.

Peak list (10 most intense, 2θ from 5° to 70°, low angle first)
19.56°, I = 100, (0 1 -1)
23.34°, I = 37, (0 2 1)
23.47°, I = 74, (1 0 2)
30.39°, I = 18, (1 -2 0)
32.35°, I = 41, (1 3 2)
32.49°, I = 38, (2 1 3)
32.62°, I = 35, (3 2 1)
34.23°, I = 72, (-2 1 1)
47.92°, I = 17, (2 0 4)
53.43°, I = 33, (1 -3 2)

Cell and atoms:
```
Li4Mn5SnP6O24
1.0
8.655 0.000 0.000
3.960 7.760 0.000
3.951 2.466 7.367
Li Mn Sn P O
4 5 1 6 24
Cartesian
0.000 0.000 0.000
6.574 8.538 3.615
4.952 4.301 2.591
10.540 7.009 5.826
8.132 7.379 7.277
6.846 6.519 1.005
9.269 8.069 2.117
8.546 2.327 3.591
10.895 3.868 4.688
4.914 5.414 5.862
2.658 2.347 1.489
5.410 2.076 5.111
8.038 5.710 4.309
6.977 2.947 0.633
13.814 8.849 6.603
12.464 6.757 2.928
1.646 2.305 0.294
4.472 3.367 5.410
4.688 6.140 1.775
3.732 3.422 1.274
3.180 0.891 1.597
6.570 5.284 4.701
9.421 9.131 6.521
8.608 9.061 4.034
8.655 6.588 5.418
7.858 6.482 2.981
6.814 2.442 4.698
6.335 4.382 0.473
5.982 1.828 0.827
8.947 4.472 4.158
8.830 6.841 0.275
8.049 3.011 1.696
11.012 6.999 2.586
11.551 5.181 6.507
9.933 2.045 5.380
13.326 7.416 6.145
13.191 8.010 3.413
12.459 5.566 4.034
15.248 8.772 7.162
10.660 2.662 2.867
```